No. 1
Theoretical powder diffraction line list
Compound: Ta2SnN
Radiation: λ = 1.5418 Å (Cu Kα)
Structure: a DFT-relaxed cell (PBE, OQMD)

Main lines, low angle first (15 to 90 degrees two-theta):
d (Å)  two_theta  I/Imax
2.828  31.6  23
2.398  37.5  100
2.261  39.9  18
1.766  51.8  15
1.633  56.3  22
1.414  66.1  3
1.350  69.7  17
1.330  70.8  16
1.324  71.2  20
1.199  80.0  4

Crystal structure
Unit cell a=5.655 b=5.655 c=13.958 alpha=101.73 beta=101.73 gamma=60.02
Positions (direct):
Ta1 0.027 0.860 0.581
Ta2 0.140 0.973 0.919
Ta3 0.193 0.361 0.081
Ta4 0.306 0.473 0.419
Ta5 0.361 0.193 0.581
Ta6 0.473 0.306 0.919
Ta7 0.527 0.694 0.081
Ta8 0.639 0.807 0.419
Ta9 0.694 0.527 0.581
Ta10 0.807 0.639 0.919
Ta11 0.860 0.027 0.081
Ta12 0.973 0.140 0.419
Sn1 0.084 0.249 0.750
Sn2 0.249 0.084 0.250
Sn3 0.417 0.583 0.750
Sn4 0.583 0.417 0.250
Sn5 0.751 0.916 0.750
Sn6 0.916 0.751 0.250
N1 0.000 0.500 0.500
N2 0.167 0.667 0.000
N3 0.333 0.833 0.500
N4 0.500 0.000 0.000
N5 0.667 0.167 0.500
N6 0.833 0.333 0.000



No. 2
Theoretical powder diffraction line list
Compound: Zr2Nb4Au3N3
Radiation: λ = 1.5418 Å (Cu Kα)
Structure: a DFT-relaxed cell (PBE, OQMD)

Main lines, low angle first (15 to 90 degrees two-theta):
d (Å)  two_theta  I/Imax
2.814  31.8  22
2.755  32.5  6
2.388  37.7  100
2.257  39.9  20
1.762  51.9  9
1.758  52.0  6
1.625  56.7  16
1.328  71.0  8
1.320  71.5  6
1.317  71.6  8

Crystal structure
Unit cell a=5.627 b=5.627 c=13.938 alpha=101.78 beta=101.78 gamma=60.04
Positions (direct):
Zr1 0.036 0.873 0.605
Zr2 0.127 0.964 0.895
Zr3 0.873 0.036 0.105
Zr4 0.964 0.127 0.395
Nb1 0.191 0.362 0.077
Nb2 0.308 0.473 0.423
Nb3 0.362 0.191 0.577
Nb4 0.473 0.308 0.923
Nb5 0.527 0.692 0.077
Nb6 0.638 0.809 0.423
Nb7 0.692 0.527 0.577
Nb8 0.809 0.638 0.923
Au1 0.083 0.315 0.750
Au2 0.315 0.083 0.250
Au3 0.481 0.519 0.750
Au4 0.519 0.481 0.250
Au5 0.685 0.917 0.750
Au6 0.917 0.685 0.250
N1 0.000 0.500 0.500
N2 0.156 0.689 0.000
N3 0.311 0.844 0.500
N4 0.500 0.000 0.000
N5 0.689 0.156 0.500
N6 0.844 0.311 0.000



No. 3
Theoretical powder diffraction line list
Compound: ErTmH2Cl4
Radiation: λ = 1.5418 Å (Cu Kα)
Structure: a DFT-relaxed cell (PBE, OQMD)

Main lines, low angle first (15 to 90 degrees two-theta):
d (Å)  two_theta  I/Imax
3.189  28.0  38
2.874  31.1  100
2.300  39.2  76
1.841  49.5  27
1.818  50.2  24
1.774  51.5  23
1.550  59.6  16
1.437  64.9  17
1.415  66.0  14
1.133  85.8  16

Crystal structure
Unit cell a=3.682 b=3.682 c=13.278 alpha=90.00 beta=90.00 gamma=120.00
Positions (direct):
Er1 0.000 0.000 0.000
Tm1 0.000 0.000 0.500
H1 0.333 0.667 0.000
H2 0.667 0.333 0.500
Cl1 0.333 0.667 0.369
Cl2 0.333 0.667 0.631
Cl3 0.667 0.333 0.132
Cl4 0.667 0.333 0.868



No. 4
Theoretical powder diffraction line list
Compound: W3CSN
Radiation: λ = 1.5418 Å (Cu Kα)
Structure: a DFT-relaxed cell (PBE, OQMD)

Main lines, low angle first (15 to 90 degrees two-theta):
d (Å)  two_theta  I/Imax
3.036  29.4  28
2.594  34.6  49
2.518  35.7  28
2.272  39.7  100
2.127  42.5  49
1.602  57.5  17
1.513  61.3  30
1.496  62.1  19
1.354  69.4  16
1.260  75.5  26

Crystal structure
Unit cell a=3.026 b=3.026 c=18.213 alpha=90.00 beta=90.00 gamma=120.00
Positions (direct):
W1 0.000 0.000 0.000
W2 0.000 0.000 0.500
W3 0.333 0.667 0.154
W4 0.333 0.667 0.365
W5 0.667 0.333 0.635
W6 0.667 0.333 0.846
C1 0.333 0.667 0.573
C2 0.667 0.333 0.427
S1 0.000 0.000 0.246
S2 0.000 0.000 0.754
N1 0.333 0.667 0.927
N2 0.667 0.333 0.073